(1)
Diffraction record for LaNi9Ge4. The powder XRD pattern is calculated, not measured: it uses the GGA-PBE geometry in the Materials Project and Cu Kα (λ = 1.5418 Å).
No peak broadening, texture or thermal motion is included.

Cell and atoms:
Cell lengths 8.171, 8.171, 8.171 Å; angles 121.45, 121.45, 87.51 degrees
Atoms (fractional coordinates):
La: 0.250 0.250 0.000
La: 0.750 0.750 0.000
Ni: 0.000 0.500 0.500
Ni: 0.055 0.555 0.247
Ni: 0.068 0.796 0.864
Ni: 0.192 0.945 0.500
Ni: 0.204 0.068 0.272
Ni: 0.296 0.568 0.864
Ni: 0.308 0.808 0.753
Ni: 0.432 0.296 0.728
Ni: 0.445 0.692 0.500
Ni: 0.500 0.000 0.500
Ni: 0.555 0.308 0.500
Ni: 0.568 0.704 0.272
Ni: 0.692 0.192 0.247
Ni: 0.704 0.432 0.136
Ni: 0.796 0.932 0.728
Ni: 0.808 0.055 0.500
Ni: 0.932 0.204 0.136
Ni: 0.945 0.445 0.753
Ge: 0.051 0.207 0.500
Ge: 0.207 0.707 0.156
Ge: 0.293 0.449 0.500
Ge: 0.449 0.949 0.156
Ge: 0.551 0.051 0.844
Ge: 0.707 0.551 0.500
Ge: 0.793 0.293 0.844
Ge: 0.949 0.793 0.500

Largest 10 diffraction maxima, by intensity, 10 to 80 degrees two-theta:
d/Å	I/Imax
2.323	100
1.970	80
1.913	51
2.374	49
1.931	44
2.527	34
2.616	27
2.548	22
1.654	20
1.884	18

***

(2)
Diffraction record for Cs2AlAgCl6. The powder XRD pattern is calculated, not measured: it uses the GGA-PBE geometry in the Materials Project and Cu Kα (λ = 1.5418 Å).
No peak broadening, texture or thermal motion is included.

Cell and atoms:
Cell lengths 7.339, 7.339, 7.339 Å; angles 60.00, 60.00, 60.00 degrees
Atoms (fractional coordinates):
Cs: 0.250 0.250 0.250
Cs: 0.750 0.750 0.750
Al: 0.000 0.000 0.000
Ag: 0.500 0.500 0.500
Cl: 0.228 0.228 0.772
Cl: 0.228 0.772 0.228
Cl: 0.228 0.772 0.772
Cl: 0.772 0.228 0.228
Cl: 0.772 0.228 0.772
Cl: 0.772 0.772 0.228

Largest 10 diffraction maxima, by intensity, 10 to 80 degrees two-theta:
d/Å	I/Imax
3.670	100
2.595	66
1.835	43
2.119	42
2.996	40
1.387	24
1.641	22
1.498	14
1.565	13
1.223	11

***

(3)
Diffraction record for Ag2PbI4. The powder XRD pattern is calculated, not measured: it uses the GGA-PBE geometry in the Materials Project and Cu Kα (λ = 1.5418 Å).
No peak broadening, texture or thermal motion is included.

Cell and atoms:
Cell lengths 6.376, 6.376, 12.559 Å; angles 90.00, 90.00, 90.00 degrees
Atoms (fractional coordinates):
Ag: 0.000 0.500 0.250
Ag: 0.000 0.500 0.750
Ag: 0.500 0.000 0.250
Ag: 0.500 0.000 0.750
Pb: 0.000 0.000 0.000
Pb: 0.500 0.500 0.500
I: 0.000 0.000 0.255
I: 0.000 0.000 0.745
I: 0.000 0.500 0.000
I: 0.000 0.500 0.500
I: 0.500 0.000 0.000
I: 0.500 0.000 0.500
I: 0.500 0.500 0.245
I: 0.500 0.500 0.755

Largest 10 diffraction maxima, by intensity, 10 to 80 degrees two-theta:
d/Å	I/Imax
3.188	100
2.237	74
3.140	48
1.831	40
2.254	38
5.685	34
1.298	26
1.426	17
1.421	17
1.408	16

***

(4)
Diffraction record for Er5Zr3Ni16As12. The powder XRD pattern is calculated, not measured: it uses the GGA-PBE geometry in the Materials Project and Cu Kα (λ = 1.5418 Å).
No peak broadening, texture or thermal motion is included.

Cell and atoms:
Cell lengths 12.750, 12.750, 3.911 Å; angles 90.00, 90.00, 120.00 degrees
Atoms (fractional coordinates):
Er: 0.000 0.817 0.000
Er: 0.183 0.183 0.000
Er: 0.333 0.667 0.500
Er: 0.667 0.333 0.500
Er: 0.817 0.000 0.000
Zr: 0.000 0.438 0.500
Zr: 0.438 0.000 0.500
Zr: 0.562 0.562 0.500
Ni: 0.000 0.000 0.500
Ni: 0.000 0.276 0.000
Ni: 0.121 0.639 0.000
Ni: 0.183 0.376 0.500
Ni: 0.193 0.817 0.500
Ni: 0.276 0.000 0.000
Ni: 0.361 0.483 0.000
Ni: 0.376 0.183 0.500
Ni: 0.483 0.361 0.000
Ni: 0.517 0.879 0.000
Ni: 0.624 0.807 0.500
Ni: 0.639 0.121 0.000
Ni: 0.724 0.724 0.000
Ni: 0.807 0.624 0.500
Ni: 0.817 0.193 0.500
Ni: 0.879 0.517 0.000
As: 0.000 0.178 0.500
As: 0.000 0.646 0.500
As: 0.173 0.480 0.000
As: 0.178 0.000 0.500
As: 0.307 0.827 0.000
As: 0.354 0.354 0.500
As: 0.480 0.173 0.000
As: 0.520 0.693 0.000
As: 0.646 0.000 0.500
As: 0.693 0.520 0.000
As: 0.822 0.822 0.500
As: 0.827 0.307 0.000

Largest 10 diffraction maxima, by intensity, 10 to 80 degrees two-theta:
d/Å	I/Imax
2.471	100
2.411	80
1.955	36
1.840	34
2.680	28
1.340	22
1.647	22
1.275	14
1.983	13
3.063	12